Structure and theoretical PXRD pattern of Li2CuNiO4 (a cell relaxed with GGA+U; a wavelength of 1.5418 Å).
Intensities are scaled so that the largest is 100.

Top 6 peaks for 10 to 80 degrees two-theta, by angle:
18.61 deg, I = 100; 36.02 deg, I = 32; 37.77 deg, I = 18; 43.70 deg, I = 50; 44.52 deg, I = 23; 48.13 deg, I = 16

Atomic structure:
```
Li2CuNiO4
1.0
4.993 0.000 0.000
0.000 2.934 0.000
-1.605 0.000 4.769
Li Cu Ni O
2 1 1 4
direct
0.000 0.000 0.000
0.500 0.500 0.000
0.000 0.500 0.500
0.500 0.000 0.500
0.255 0.000 0.716
0.255 0.500 0.262
0.745 0.000 0.284
0.745 0.500 0.738
```

Structure and theoretical PXRD pattern of Li4CuNi3P4O16 (a cell relaxed with GGA+U; a wavelength of 1.5418 Å).
Intensities are scaled so that the largest is 100.

Top 6 peaks for 10 to 80 degrees two-theta, by angle:
17.63 deg, I = 67; 25.55 deg, I = 73; 25.72 deg, I = 86; 29.97 deg, I = 100; 35.93 deg, I = 77; 36.33 deg, I = 79

Atomic structure:
```
Li4CuNi3P4O16
1.0
4.725 0.000 0.000
0.000 5.962 0.000
-0.138 0.000 10.063
Li Cu Ni P O
4 1 3 4 16
direct
0.000 0.248 0.000
0.000 0.752 0.000
0.496 0.250 0.497
0.496 0.750 0.497
0.546 0.500 0.217
0.018 0.000 0.278
0.479 0.000 0.774
0.978 0.500 0.723
0.083 0.500 0.403
0.419 0.500 0.905
0.581 0.000 0.093
0.913 0.000 0.594
0.195 0.500 0.549
0.217 0.291 0.336
0.217 0.709 0.336
0.237 0.000 0.600
0.258 0.000 0.098
0.274 0.294 0.835
0.274 0.706 0.835
0.308 0.500 0.051
0.699 0.000 0.950
0.726 0.204 0.166
0.726 0.796 0.166
0.743 0.500 0.901
0.754 0.500 0.396
0.773 0.206 0.666
0.773 0.794 0.666
0.793 0.000 0.451
```

Structure and theoretical PXRD pattern of Li2CuNiP2O8 (a cell relaxed with GGA+U; a wavelength of 1.5418 Å).
Intensities are scaled so that the largest is 100.

Top 6 peaks for 10 to 80 degrees two-theta, by angle:
17.67 deg, I = 57; 25.30 deg, I = 61; 25.66 deg, I = 69; 29.59 deg, I = 100; 35.67 deg, I = 64; 36.47 deg, I = 80

Atomic structure:
```
Li2CuNiP2O8
1.0
4.743 0.000 0.000
0.000 6.037 0.000
-0.271 0.000 10.040
Li Cu Ni P O
4 2 2 4 16
direct
0.000 0.000 0.000
0.000 0.500 0.000
0.500 0.000 0.500
0.500 0.500 0.500
0.045 0.250 0.719
0.955 0.750 0.281
0.483 0.250 0.222
0.517 0.750 0.778
0.075 0.750 0.593
0.417 0.750 0.097
0.583 0.250 0.903
0.925 0.250 0.407
0.188 0.750 0.448
0.222 0.548 0.665
0.222 0.952 0.665
0.248 0.250 0.403
0.255 0.250 0.896
0.286 0.542 0.164
0.286 0.958 0.164
0.298 0.750 0.951
0.702 0.250 0.049
0.714 0.042 0.836
0.714 0.458 0.836
0.745 0.750 0.104
0.752 0.750 0.597
0.778 0.048 0.335
0.778 0.452 0.335
0.812 0.250 0.552
```

Structure and theoretical PXRD pattern of Li4Cu3NiP4O16 (a cell relaxed with GGA+U; a wavelength of 1.5418 Å).
Intensities are scaled so that the largest is 100.

Top 6 peaks for 10 to 80 degrees two-theta, by angle:
17.80 deg, I = 61; 25.36 deg, I = 66; 25.58 deg, I = 71; 29.42 deg, I = 100; 35.95 deg, I = 63; 36.41 deg, I = 83

Atomic structure:
```
Li4Cu3NiP4O16
1.0
4.737 0.000 0.000
0.000 6.073 0.000
-0.160 0.000 9.965
Li Cu Ni P O
4 3 1 4 16
direct
0.000 0.247 0.000
0.000 0.753 0.000
0.497 0.250 0.503
0.497 0.750 0.503
0.047 0.000 0.716
0.549 0.500 0.787
0.949 0.500 0.283
0.478 0.000 0.222
0.075 0.500 0.595
0.418 0.500 0.097
0.581 0.000 0.904
0.919 0.000 0.406
0.182 0.500 0.447
0.217 0.296 0.662
0.217 0.704 0.662
0.242 0.000 0.401
0.255 0.000 0.896
0.283 0.293 0.163
0.283 0.707 0.163
0.310 0.500 0.948
0.698 0.000 0.051
0.717 0.204 0.835
0.717 0.796 0.835
0.745 0.500 0.106
0.750 0.500 0.603
0.773 0.201 0.335
0.773 0.799 0.335
0.807 0.000 0.552
```

Structure and theoretical PXRD pattern of Li4TiCu2Ni3P6O24 (a cell relaxed with GGA+U; a wavelength of 1.5418 Å).
Intensities are scaled so that the largest is 100.

Top 6 peaks for 10 to 80 degrees two-theta, by angle:
20.18 deg, I = 100; 20.39 deg, I = 43; 24.48 deg, I = 29; 32.20 deg, I = 31; 32.75 deg, I = 29; 35.59 deg, I = 52

Atomic structure:
```
Li4TiCu2Ni3P6O24
1.0
8.352 0.000 0.000
3.998 7.546 0.000
4.115 2.587 7.280
Li Ti Cu Ni P O
4 1 2 3 6 24
direct
0.000 0.000 0.000
0.096 0.506 0.857
0.463 0.716 0.311
0.890 0.064 0.510
0.894 0.505 0.307
0.252 0.855 0.653
0.732 0.353 0.162
0.102 0.711 0.502
0.385 0.003 0.799
0.602 0.217 0.006
0.187 0.113 0.185
0.308 0.607 0.115
0.497 0.404 0.616
0.690 0.908 0.410
0.799 0.823 0.908
0.998 0.309 0.702
0.064 0.464 0.670
0.135 0.533 0.183
0.151 0.111 0.711
0.184 0.065 0.039
0.186 0.951 0.374
0.284 0.772 0.936
0.288 0.665 0.265
0.330 0.600 0.601
0.344 0.191 0.121
0.442 0.246 0.640
0.497 0.908 0.566
0.503 0.452 0.082
0.570 0.369 0.760
0.629 0.865 0.859
0.647 0.448 0.413
0.682 0.094 0.245
0.749 0.742 0.342
0.785 0.963 0.976
0.835 0.617 0.057
0.844 0.875 0.480
0.847 0.282 0.893
0.931 0.363 0.537
0.977 0.267 0.237
0.991 0.808 0.738
```

Structure and theoretical PXRD pattern of Li4Cu3Ni3Te2O16 (a cell relaxed with GGA+U; a wavelength of 1.5418 Å).
Intensities are scaled so that the largest is 100.

Top 6 peaks for 10 to 80 degrees two-theta, by angle:
19.52 deg, I = 100; 19.63 deg, I = 59; 32.59 deg, I = 36; 35.44 deg, I = 59; 36.20 deg, I = 32; 44.94 deg, I = 33

Atomic structure:
```
Li4Cu3Ni3Te2O16
1.0
5.106 -2.965 0.000
5.106 2.965 0.000
-0.135 0.000 9.708
Li Cu Ni Te O
4 3 3 2 16
direct
0.000 0.000 0.000
0.004 0.004 0.502
0.325 0.325 0.929
0.661 0.661 0.427
0.167 0.167 0.228
0.339 0.824 0.728
0.824 0.339 0.728
0.168 0.658 0.228
0.658 0.168 0.228
0.828 0.828 0.729
0.335 0.335 0.497
0.665 0.665 0.000
0.004 0.004 0.312
0.007 0.007 0.808
0.031 0.483 0.369
0.169 0.665 0.604
0.175 0.175 0.605
0.324 0.324 0.133
0.337 0.829 0.105
0.481 0.481 0.366
0.483 0.031 0.369
0.510 0.510 0.878
0.514 0.960 0.867
0.655 0.655 0.633
0.665 0.169 0.604
0.829 0.337 0.105
0.831 0.831 0.104
0.960 0.514 0.867
```